This entry pairs a crystal structure of Co2O3F with its computed X-ray diffraction stick pattern. Radiation: Cu Kα X-rays. Structure: a cell relaxed with GGA+U.
Neutral-atom scattering factors, no anomalous dispersion.

Atomic structure:
```
data_Co2O3F
_cell_length_a 8.716
_cell_length_b 6.159
_cell_length_c 6.741
_cell_angle_alpha 90.00
_cell_angle_beta 90.00
_cell_angle_gamma 90.00
_space_group_name_H-M_alt 'A m m 2'
_space_group_IT_number 38
loop_
_space_group_symop_operation_xyz
'x,y,z'
'-x,-y,z'
'-x,y,z'
'x,-y,z'
'x,y+1/2,z+1/2'
'-x,-y+1/2,z+1/2'
'-x,y+1/2,z+1/2'
'x,-y+1/2,z+1/2'
loop_
_atom_site_label
_atom_site_type_symbol
_atom_site_fract_x
_atom_site_fract_y
_atom_site_fract_z
Co1 Co 0.000 0.000 0.000
Co2 Co 0.165 0.000 0.537
Co3 Co 0.331 0.000 0.070
Co4 Co 0.500 0.000 0.528
O1 O 0.000 0.000 0.715
O2 O 0.166 0.192 0.034
O3 O 0.329 0.000 0.356
O4 O 0.500 0.191 0.051
F1 F 0.000 0.000 0.333
F2 F 0.333 0.000 0.740
```

Top 10 peaks for 10 to 90 degrees two-theta, in order of rising 2θ:
Position (°2θ)  I_rel
26.45  99
29.00  92
36.71  100
39.64  19
41.02  16
42.80  15
53.67  54
56.56  51
64.10  15
70.02  36


This entry pairs a crystal structure of Co6O5F7 with its computed X-ray diffraction stick pattern. Radiation: Cu Kα X-rays. Structure: a cell relaxed with GGA+U.
Neutral-atom scattering factors, no anomalous dispersion.

Atomic structure:
```
data_Co6O5F7
_cell_length_a 4.656
_cell_length_b 5.580
_cell_length_c 7.673
_cell_angle_alpha 85.59
_cell_angle_beta 87.27
_cell_angle_gamma 85.76
_space_group_name_H-M_alt 'P 1'
_space_group_IT_number 1
loop_
_space_group_symop_operation_xyz
'x,y,z'
loop_
_atom_site_label
_atom_site_type_symbol
_atom_site_fract_x
_atom_site_fract_y
_atom_site_fract_z
Co1 Co 0.000 0.000 0.000
Co2 Co 0.002 0.325 0.687
Co3 Co 0.038 0.658 0.341
Co4 Co 0.534 0.482 0.016
Co5 Co 0.537 0.155 0.333
Co6 Co 0.589 0.820 0.670
O1 O 0.341 0.450 0.240
O2 O 0.722 0.194 0.110
O3 O 0.726 0.513 0.792
O4 O 0.740 0.864 0.426
O5 O 0.847 0.028 0.780
F1 F 0.225 0.617 0.576
F2 F 0.228 0.951 0.230
F3 F 0.234 0.279 0.905
F4 F 0.332 0.128 0.565
F5 F 0.332 0.781 0.917
F6 F 0.839 0.360 0.445
F7 F 0.842 0.691 0.105
```

Top 10 peaks for 10 to 90 degrees two-theta, in order of rising 2θ:
Position (°2θ)  I_rel
25.93  100
28.29  82
35.20  75
35.34  24
51.92  32
52.05  16
53.33  17
54.61  23
60.85  16
67.76  20


This entry pairs a crystal structure of Co2O3F with its computed X-ray diffraction stick pattern. Radiation: Cu Kα X-rays. Structure: a cell relaxed with GGA+U.
Neutral-atom scattering factors, no anomalous dispersion.

Atomic structure:
```
data_Co2O3F
_cell_length_a 8.763
_cell_length_b 6.297
_cell_length_c 8.675
_cell_angle_alpha 90.00
_cell_angle_beta 94.08
_cell_angle_gamma 90.00
_space_group_name_H-M_alt 'C 1 2/m 1'
_space_group_IT_number 12
loop_
_space_group_symop_operation_xyz
'x,y,z'
'-x,-y,-z'
'-x,y,-z'
'x,-y,z'
'x+1/2,y+1/2,z'
'-x+1/2,-y+1/2,-z'
'-x+1/2,y+1/2,-z'
'x+1/2,-y+1/2,z'
loop_
_atom_site_label
_atom_site_type_symbol
_atom_site_fract_x
_atom_site_fract_y
_atom_site_fract_z
Co1 Co 0.000 0.000 0.000
Co2 Co 0.000 0.500 0.500
Co3 Co 0.104 0.000 0.636
Co4 Co 0.134 0.500 0.140
Co5 Co 0.240 0.500 0.758
O1 O 0.000 0.195 0.500
O2 O 0.025 0.500 0.722
O3 O 0.042 0.000 0.216
O4 O 0.224 0.000 0.026
O5 O 0.236 0.199 0.746
F1 F 0.000 0.310 0.000
F2 F 0.231 0.500 0.532
```

Top 10 peaks for 10 to 90 degrees two-theta, in order of rising 2θ:
Position (°2θ)  I_rel
27.97  100
28.35  100
36.15  58
36.40  54
40.24  21
41.79  19
54.80  27
55.38  58
55.60  29
70.80  19


This entry pairs a crystal structure of Co3O4F2 with its computed X-ray diffraction stick pattern. Radiation: Cu Kα X-rays. Structure: a cell relaxed with GGA+U.
Neutral-atom scattering factors, no anomalous dispersion.

Atomic structure:
```
data_Co3O4F2
_cell_length_a 4.572
_cell_length_b 5.413
_cell_length_c 7.488
_cell_angle_alpha 84.46
_cell_angle_beta 85.33
_cell_angle_gamma 84.82
_space_group_name_H-M_alt 'P -1'
_space_group_IT_number 2
loop_
_space_group_symop_operation_xyz
'x,y,z'
'-x,-y,-z'
loop_
_atom_site_label
_atom_site_type_symbol
_atom_site_fract_x
_atom_site_fract_y
_atom_site_fract_z
Co1 Co 0.000 0.000 0.000
Co2 Co 0.009 0.676 0.334
Co3 Co 0.458 0.140 0.318
Co4 Co 0.500 0.500 0.000
O1 O 0.177 0.958 0.219
O2 O 0.304 0.125 0.565
O3 O 0.305 0.464 0.229
O4 O 0.308 0.801 0.899
F1 F 0.191 0.618 0.573
F2 F 0.192 0.282 0.912
```

Top 10 peaks for 10 to 90 degrees two-theta, in order of rising 2θ:
Position (°2θ)  I_rel
26.07  100
29.34  86
36.24  53
36.63  44
39.65  18
52.63  28
53.49  29
56.64  25
63.38  16
69.49  17


This entry pairs a crystal structure of Co6O7F5 with its computed X-ray diffraction stick pattern. Radiation: Cu Kα X-rays. Structure: a cell relaxed with GGA+U.
Neutral-atom scattering factors, no anomalous dispersion.

Atomic structure:
```
data_Co6O7F5
_cell_length_a 6.482
_cell_length_b 6.122
_cell_length_c 8.955
_cell_angle_alpha 90.00
_cell_angle_beta 90.17
_cell_angle_gamma 90.00
_space_group_name_H-M_alt 'C 1 2 1'
_space_group_IT_number 5
loop_
_space_group_symop_operation_xyz
'x,y,z'
'-x,y,-z'
'x+1/2,y+1/2,z'
'-x+1/2,y+1/2,-z'
loop_
_atom_site_label
_atom_site_type_symbol
_atom_site_fract_x
_atom_site_fract_y
_atom_site_fract_z
Co1 Co 0.000 0.000 0.000
Co2 Co 0.000 0.473 0.500
Co3 Co 0.005 0.973 0.676
Co4 Co 0.023 0.471 0.171
O1 O 0.000 0.288 0.000
O2 O 0.012 0.667 0.333
O3 O 0.014 0.279 0.331
O4 O 0.184 0.977 0.838
F1 F 0.000 0.679 0.000
F2 F 0.193 0.973 0.492
F3 F 0.227 0.974 0.165
```

Top 10 peaks for 10 to 90 degrees two-theta, in order of rising 2θ:
Position (°2θ)  I_rel
27.52  84
29.17  82
36.23  100
40.54  16
54.45  26
54.61  25
56.44  47
56.82  15
70.87  16
71.01  15


This entry pairs a crystal structure of Co2O3F with its computed X-ray diffraction stick pattern. Radiation: Cu Kα X-rays. Structure: a cell relaxed with GGA+U.
Neutral-atom scattering factors, no anomalous dispersion.

Atomic structure:
```
data_Co2O3F
_cell_length_a 17.492
_cell_length_b 5.931
_cell_length_c 4.377
_cell_angle_alpha 90.00
_cell_angle_beta 92.68
_cell_angle_gamma 90.00
_space_group_name_H-M_alt 'C 1 2/m 1'
_space_group_IT_number 12
loop_
_space_group_symop_operation_xyz
'x,y,z'
'-x,-y,-z'
'-x,y,-z'
'x,-y,z'
'x+1/2,y+1/2,z'
'-x+1/2,-y+1/2,-z'
'-x+1/2,y+1/2,-z'
'x+1/2,-y+1/2,z'
loop_
_atom_site_label
_atom_site_type_symbol
_atom_site_fract_x
_atom_site_fract_y
_atom_site_fract_z
Co1 Co 0.000 0.244 0.000
Co2 Co 0.119 0.000 0.523
Co3 Co 0.132 0.500 0.473
Co4 Co 0.250 0.250 0.000
O1 O 0.048 0.000 0.805
O2 O 0.075 0.251 0.307
O3 O 0.173 0.251 0.694
O4 O 0.202 0.500 0.193
F1 F 0.052 0.500 0.800
F2 F 0.195 0.000 0.216
```

Top 10 peaks for 10 to 90 degrees two-theta, in order of rising 2θ:
Position (°2θ)  I_rel
28.19  77
29.58  80
36.62  100
41.32  16
41.74  13
55.58  46
57.18  47
58.30  13
62.66  15
72.26  30


This entry pairs a crystal structure of Co6O5F7 with its computed X-ray diffraction stick pattern. Radiation: Cu Kα X-rays. Structure: a cell relaxed with GGA+U.
Neutral-atom scattering factors, no anomalous dispersion.

Atomic structure:
```
data_Co6O5F7
_cell_length_a 9.011
_cell_length_b 6.579
_cell_length_c 7.181
_cell_angle_alpha 90.00
_cell_angle_beta 112.52
_cell_angle_gamma 90.00
_space_group_name_H-M_alt 'C 1 m 1'
_space_group_IT_number 8
loop_
_space_group_symop_operation_xyz
'x,y,z'
'x,-y,z'
'x+1/2,y+1/2,z'
'x+1/2,-y+1/2,z'
loop_
_atom_site_label
_atom_site_type_symbol
_atom_site_fract_x
_atom_site_fract_y
_atom_site_fract_z
Co1 Co 0.000 0.000 0.000
Co2 Co 0.008 0.000 0.490
Co3 Co 0.137 0.500 0.149
Co4 Co 0.189 0.500 0.638
Co5 Co 0.330 0.000 0.329
Co6 Co 0.359 0.000 0.848
O1 O 0.003 0.286 0.002
O2 O 0.050 0.500 0.361
O3 O 0.107 0.000 0.287
O4 O 0.414 0.500 0.712
F1 F 0.181 0.196 0.668
F2 F 0.240 0.000 0.032
F3 F 0.262 0.500 0.958
F4 F 0.325 0.306 0.324
F5 F 0.443 0.000 0.630
```

Top 10 peaks for 10 to 90 degrees two-theta, in order of rising 2θ:
Position (°2θ)  I_rel
27.11  100
27.22  98
35.10  52
35.48  53
53.09  25
53.24  31
53.51  30
53.91  29
67.60  22
68.32  20


This entry pairs a crystal structure of Co6O5F7 with its computed X-ray diffraction stick pattern. Radiation: Cu Kα X-rays. Structure: a cell relaxed with GGA+U.
Neutral-atom scattering factors, no anomalous dispersion.

Atomic structure:
```
data_Co6O5F7
_cell_length_a 5.571
_cell_length_b 5.571
_cell_length_c 7.020
_cell_angle_alpha 73.43
_cell_angle_beta 73.16
_cell_angle_gamma 73.66
_space_group_name_H-M_alt 'P 1'
_space_group_IT_number 1
loop_
_space_group_symop_operation_xyz
'x,y,z'
loop_
_atom_site_label
_atom_site_type_symbol
_atom_site_fract_x
_atom_site_fract_y
_atom_site_fract_z
Co1 Co 0.000 0.000 0.000
Co2 Co 0.004 0.007 0.504
Co3 Co 0.324 0.323 0.664
Co4 Co 0.374 0.312 0.162
Co5 Co 0.685 0.700 0.341
Co6 Co 0.696 0.604 0.820
O1 O 0.259 0.242 0.447
O2 O 0.428 0.414 0.877
O3 O 0.672 0.026 0.159
O4 O 0.771 0.765 0.544
O5 O 0.970 0.332 0.839
F1 F 0.049 0.649 0.160
F2 F 0.112 0.098 0.190
F3 F 0.312 0.700 0.498
F4 F 0.356 0.952 0.839
F5 F 0.585 0.570 0.135
F6 F 0.702 0.313 0.498
F7 F 0.900 0.885 0.812
```

Top 10 peaks for 10 to 90 degrees two-theta, in order of rising 2θ:
Position (°2θ)  I_rel
26.69  100
27.96  87
35.02  55
35.45  27
35.55  26
52.72  29
53.82  23
54.95  27
60.69  16
67.84  16


This entry pairs a crystal structure of Co2O3F with its computed X-ray diffraction stick pattern. Radiation: Cu Kα X-rays. Structure: a cell relaxed with GGA+U.
Neutral-atom scattering factors, no anomalous dispersion.

Atomic structure:
```
data_Co2O3F
_cell_length_a 4.402
_cell_length_b 5.910
_cell_length_c 9.251
_cell_angle_alpha 108.60
_cell_angle_beta 90.87
_cell_angle_gamma 90.12
_space_group_name_H-M_alt 'P 1'
_space_group_IT_number 1
loop_
_space_group_symop_operation_xyz
'x,y,z'
loop_
_atom_site_label
_atom_site_type_symbol
_atom_site_fract_x
_atom_site_fract_y
_atom_site_fract_z
Co1 Co 0.000 0.000 0.000
Co2 Co 0.003 0.495 0.001
Co3 Co 0.461 0.377 0.263
Co4 Co 0.506 0.131 0.756
Co5 Co 0.514 0.867 0.237
Co6 Co 0.527 0.612 0.746
Co7 Co 0.959 0.745 0.497
Co8 Co 0.982 0.250 0.507
O1 O 0.175 0.449 0.407
O2 O 0.196 0.199 0.904
O3 O 0.296 0.575 0.155
O4 O 0.297 0.074 0.155
O5 O 0.311 0.325 0.657
O6 O 0.669 0.671 0.345
O7 O 0.679 0.170 0.350
O8 O 0.697 0.920 0.848
O9 O 0.698 0.420 0.848
O10 O 0.795 0.543 0.601
O11 O 0.796 0.051 0.605
O12 O 0.803 0.794 0.095
F1 F 0.192 0.947 0.397
F2 F 0.215 0.694 0.892
F3 F 0.304 0.823 0.650
F4 F 0.777 0.302 0.111
```

Top 10 peaks for 10 to 90 degrees two-theta, in order of rising 2θ:
Position (°2θ)  I_rel
28.50  78
28.99  83
36.65  100
42.04  13
55.99  34
56.46  24
56.57  25
58.98  13
60.07  13
62.90  15


This entry pairs a crystal structure of Co3OF5 with its computed X-ray diffraction stick pattern. Radiation: Cu Kα X-rays. Structure: a cell relaxed with GGA+U.
Neutral-atom scattering factors, no anomalous dispersion.

Atomic structure:
```
data_Co3OF5
_cell_length_a 4.764
_cell_length_b 3.094
_cell_length_c 14.188
_cell_angle_alpha 90.00
_cell_angle_beta 92.28
_cell_angle_gamma 90.00
_space_group_name_H-M_alt 'P 1 2/m 1'
_space_group_IT_number 10
loop_
_space_group_symop_operation_xyz
'x,y,z'
'-x,-y,-z'
'-x,y,-z'
'x,-y,z'
loop_
_atom_site_label
_atom_site_type_symbol
_atom_site_fract_x
_atom_site_fract_y
_atom_site_fract_z
Co1 Co 0.000 0.000 0.000
Co2 Co 0.016 0.000 0.672
Co3 Co 0.475 0.500 0.825
Co4 Co 0.500 0.500 0.500
O1 O 0.315 0.000 0.768
F1 F 0.193 0.500 0.266
F2 F 0.201 0.500 0.935
F3 F 0.202 0.500 0.601
F4 F 0.297 0.000 0.433
F5 F 0.310 0.000 0.104
```

Top 10 peaks for 10 to 90 degrees two-theta, in order of rising 2θ:
Position (°2θ)  I_rel
26.04  96
27.11  89
34.61  100
51.60  31
51.77  31
52.82  27
52.98  26
53.56  19
66.19  20
66.62  20


This entry pairs a crystal structure of Co2O3F with its computed X-ray diffraction stick pattern. Radiation: Cu Kα X-rays. Structure: a cell relaxed with GGA+U.
Neutral-atom scattering factors, no anomalous dispersion.

Atomic structure:
```
data_Co2O3F
_cell_length_a 6.078
_cell_length_b 12.066
_cell_length_c 6.551
_cell_angle_alpha 90.00
_cell_angle_beta 90.00
_cell_angle_gamma 90.00
_space_group_name_H-M_alt 'C m c e'
_space_group_IT_number 64
_space_group_name_Hall '-C 2ac 2'
loop_
_atom_site_label
_atom_site_type_symbol
_atom_site_fract_x
_atom_site_fract_y
_atom_site_fract_z
Co1 Co 0.000 0.125 0.215
Co2 Co 0.250 0.125 0.750
O1 O 0.000 0.124 0.931
O2 O 0.250 0.022 0.250
O3 O 0.250 0.229 0.250
F1 F 0.000 0.126 0.532
```

Top 10 peaks for 10 to 90 degrees two-theta, in order of rising 2θ:
Position (°2θ)  I_rel
27.22  75
29.61  69
35.81  100
40.49  14
40.66  13
53.89  44
56.65  41
60.97  15
61.48  12
70.84  25